1.
Structure and theoretical powder X-ray diffraction pattern of TiSF (a structure optimized by DFT (PBE); λ = 1.5418 Å (Cu Kα)).
Neutral-atom scattering factors, no anomalous dispersion.

Most intense lines, 2θ from 10° to 90°, low angle first:
| 2theta | Rel. int. |
| --- | --- |
| 20.44 | 30.8 |
| 22.46 | 46.7 |
| 29.22 | 30.2 |
| 29.56 | 100.0 |
| 33.97 | 39.5 |
| 42.05 | 41.6 |
| 43.40 | 33.5 |
| 45.93 | 50.7 |
| 50.23 | 36.4 |
| 50.68 | 42.1 |

Cell and atoms:
Unit cell a=9.000 b=3.602 c=16.654 alpha=90.00 beta=90.00 gamma=90.00
Atoms (fractional coordinates):
Ti  0.080  0.250  0.084
Ti  0.081  0.250  0.420
Ti  0.228  0.750  0.260
Ti  0.272  0.250  0.760
Ti  0.419  0.750  0.920
Ti  0.420  0.750  0.584
Ti  0.580  0.250  0.416
Ti  0.581  0.250  0.080
Ti  0.728  0.750  0.240
Ti  0.772  0.250  0.740
Ti  0.919  0.750  0.580
Ti  0.920  0.750  0.916
S  0.007  0.250  0.673
S  0.164  0.750  0.514
S  0.177  0.750  0.851
S  0.323  0.250  0.351
S  0.336  0.250  0.014
S  0.493  0.750  0.173
S  0.507  0.250  0.827
S  0.664  0.750  0.986
S  0.677  0.750  0.649
S  0.823  0.250  0.149
S  0.836  0.250  0.486
S  0.993  0.750  0.327
F  0.066  0.750  0.019
F  0.093  0.750  0.154
F  0.224  0.250  0.197
F  0.276  0.750  0.697
F  0.407  0.250  0.654
F  0.434  0.250  0.519
F  0.566  0.750  0.481
F  0.593  0.750  0.346
F  0.724  0.250  0.303
F  0.776  0.750  0.803
F  0.907  0.250  0.846
F  0.934  0.250  0.981

=====

2.
Structure and theoretical powder X-ray diffraction pattern of La4Al6O15 (a structure optimized by DFT (PBE); λ = 1.5418 Å (Cu Kα)).
Neutral-atom scattering factors, no anomalous dispersion.

Most intense lines, 2θ from 10° to 90°, low angle first:
| 2theta | Rel. int. |
| --- | --- |
| 19.44 | 43.5 |
| 27.32 | 59.8 |
| 27.57 | 57.4 |
| 28.04 | 100.0 |
| 28.72 | 63.7 |
| 35.59 | 36.8 |
| 42.76 | 26.3 |
| 43.65 | 32.5 |
| 45.61 | 23.7 |
| 45.96 | 30.2 |

Cell and atoms:
Unit cell a=6.957 b=6.957 c=21.193 alpha=93.46 beta=93.46 gamma=42.51
Atoms (fractional coordinates):
La  0.132  0.156  0.853
La  0.135  0.135  0.050
La  0.243  0.481  0.451
La  0.266  0.449  0.648
La  0.519  0.757  0.549
La  0.551  0.734  0.352
La  0.844  0.868  0.147
La  0.865  0.865  0.950
Al  0.001  0.157  0.445
Al  0.174  0.149  0.226
Al  0.214  0.460  0.275
Al  0.386  0.457  0.055
Al  0.408  0.427  0.836
Al  0.540  0.786  0.725
Al  0.543  0.614  0.945
Al  0.573  0.592  0.164
Al  0.814  0.017  0.335
Al  0.843  0.999  0.555
Al  0.851  0.826  0.774
Al  0.983  0.186  0.665
O  0.001  0.938  0.630
O  0.062  0.999  0.370
O  0.069  0.931  0.500
O  0.100  0.312  0.303
O  0.110  0.492  0.042
O  0.170  0.068  0.739
O  0.171  0.192  0.613
O  0.221  0.543  0.762
O  0.227  0.417  0.888
O  0.276  0.123  0.459
O  0.289  0.299  0.197
O  0.314  0.686  0.000
O  0.326  0.615  0.130
O  0.385  0.674  0.870
O  0.457  0.779  0.238
O  0.473  0.374  0.329
O  0.502  0.353  0.552
O  0.508  0.890  0.958
O  0.583  0.773  0.112
O  0.626  0.527  0.671
O  0.647  0.498  0.448
O  0.688  0.900  0.697
O  0.701  0.711  0.803
O  0.736  0.114  0.052
O  0.765  0.084  0.828
O  0.808  0.829  0.387
O  0.877  0.724  0.541
O  0.886  0.264  0.948
O  0.916  0.235  0.172
O  0.932  0.830  0.261

=====

3.
Structure and theoretical powder X-ray diffraction pattern of ZrUO4 (a structure optimized by DFT (PBE); λ = 1.5418 Å (Cu Kα)).
Neutral-atom scattering factors, no anomalous dispersion.

Most intense lines, 2θ from 10° to 90°, low angle first:
| 2theta | Rel. int. |
| --- | --- |
| 14.58 | 25.4 |
| 27.88 | 18.6 |
| 29.17 | 100.0 |
| 29.40 | 32.8 |
| 33.87 | 42.3 |
| 48.50 | 34.9 |
| 48.81 | 34.1 |
| 57.60 | 15.1 |
| 57.74 | 30.0 |
| 58.02 | 14.7 |

Cell and atoms:
Unit cell a=6.450 b=6.450 c=6.450 alpha=33.83 beta=33.83 gamma=33.83
Atoms (fractional coordinates):
Zr  0.000  0.000  0.000
U  0.500  0.500  0.500
O  0.122  0.122  0.122
O  0.371  0.371  0.371
O  0.629  0.629  0.629
O  0.878  0.878  0.878

=====

4.
Structure and theoretical powder X-ray diffraction pattern of Na3InSb2 (a structure optimized by DFT (PBE); λ = 1.5418 Å (Cu Kα)).
Neutral-atom scattering factors, no anomalous dispersion.

Most intense lines, 2θ from 10° to 90°, low angle first:
| 2theta | Rel. int. |
| --- | --- |
| 13.88 | 79.9 |
| 21.13 | 80.4 |
| 22.12 | 94.5 |
| 22.50 | 68.3 |
| 30.30 | 65.5 |
| 30.78 | 81.0 |
| 34.33 | 78.7 |
| 35.60 | 63.2 |
| 37.14 | 100.0 |
| 39.03 | 68.8 |

Cell and atoms:
Unit cell a=10.462 b=8.039 c=16.837 alpha=90.00 beta=92.80 gamma=90.00
Atoms (fractional coordinates):
Na  0.062  0.010  0.393
Na  0.062  0.490  0.893
Na  0.117  0.153  0.047
Na  0.117  0.347  0.547
Na  0.177  0.512  0.362
Na  0.177  0.988  0.862
Na  0.312  0.030  0.647
Na  0.312  0.470  0.147
Na  0.372  0.155  0.298
Na  0.372  0.345  0.798
Na  0.430  0.531  0.608
Na  0.430  0.969  0.108
Na  0.570  0.031  0.892
Na  0.570  0.469  0.392
Na  0.628  0.655  0.202
Na  0.628  0.845  0.702
Na  0.688  0.530  0.853
Na  0.688  0.970  0.353
Na  0.823  0.012  0.138
Na  0.823  0.488  0.638
Na  0.883  0.653  0.453
Na  0.883  0.847  0.953
Na  0.938  0.510  0.107
Na  0.938  0.990  0.607
In  0.139  0.649  0.709
In  0.139  0.851  0.209
In  0.374  0.638  0.958
In  0.374  0.862  0.458
In  0.626  0.138  0.542
In  0.626  0.362  0.042
In  0.861  0.149  0.791
In  0.861  0.351  0.291
Sb  0.093  0.218  0.227
Sb  0.093  0.282  0.727
Sb  0.149  0.739  0.538
Sb  0.149  0.761  0.038
Sb  0.373  0.228  0.478
Sb  0.373  0.272  0.978
Sb  0.380  0.742  0.791
Sb  0.380  0.758  0.291
Sb  0.620  0.242  0.709
Sb  0.620  0.258  0.209
Sb  0.627  0.728  0.022
Sb  0.627  0.772  0.522
Sb  0.851  0.239  0.962
Sb  0.851  0.261  0.462
Sb  0.907  0.718  0.273
Sb  0.907  0.782  0.773